# 1
Diffraction record for ZnCu2Ni2O8. The XRD peak list is simulated, not measured: it uses a DFT-relaxed cell (GGA+U, the Materials Project) and Cu Ka.
Peak positions follow from Bragg's law for the DFT cell and can differ from measured ones.

Main lines, most intense first (2θ = 15–90°):
two_theta  Rel. int.  hkl
30.73  100  0 0 4
31.25  55  2 1 1
33.19  47  0 3 1
29.64  33  1 2 -2
34.90  33  1 2 3
20.32  31  1 0 -2
35.85  25  0 3 2
26.57  21  1 2 -1
30.05  21  2 1 0
22.98  20  1 1 -2

Crystal structure
abc: 6.375 8.323 11.657
angles: 90.00 91.87 90.00
Space group P2_1/c (No. 14)
Asymmetric unit:
Zn  0.109  0.159  0.048
Cu  0.251  0.690  0.624
Cu  0.382  0.059  0.623
Ni  0.099  0.038  0.340
Ni  0.394  0.592  0.367
O  0.020  0.238  0.396
O  0.102  0.112  0.623
O  0.146  0.027  0.190
O  0.192  0.578  0.477
O  0.326  0.626  0.211
O  0.341  0.524  0.913
O  0.410  0.231  0.071
O  0.481  0.118  0.858

=====

# 2
Diffraction record for V3Cu2SbP6O24. The XRD peak list is simulated, not measured: it uses a DFT-relaxed cell (GGA+U, the Materials Project) and Cu Ka.
Peak positions follow from Bragg's law for the DFT cell and can differ from measured ones.

Main lines, most intense first (2θ = 15–90°):
two_theta  Rel. int.  hkl
20.58  100  1 1 0
24.12  88  1 1 3
32.61  74  2 -1 6
36.04  42  3 0 0
46.82  34  1 2 8
56.40  28  4 1 0
49.39  27  2 2 6
62.64  19  5 -1 6
56.17  16  3 1 8
25.24  16  2 0 2

Crystal structure
abc: 8.6322 8.6322 21.3575
angles: 90.00 90.00 120.00
Space group R3 (No. 146, hexagonal axes)
Asymmetric unit:
V  0.0000  0.0000  0.0000
V  0.0000  0.0000  0.2152
V  0.0000  0.0000  0.4990
Cu  0.0000  0.0000  0.3572
Cu  0.0000  0.0000  0.8616
Sb  0.0000  0.0000  0.7147
P  0.9996  0.2925  0.6058
P  0.0034  0.7135  0.1073
O  0.0064  0.8099  0.0472
O  0.0079  0.1944  0.5481
O  0.0232  0.1869  0.2762
O  0.0233  0.8376  0.7770
O  0.1421  0.4650  0.3350
O  0.1446  0.6761  0.8339
O  0.1680  0.6871  0.1052
O  0.1695  0.4796  0.6056

=====

# 3
Diffraction record for V3Cu2SnP6O24. The XRD peak list is simulated, not measured: it uses a DFT-relaxed cell (GGA+U, the Materials Project) and Cu Ka.
Peak positions follow from Bragg's law for the DFT cell and can differ from measured ones.

Main lines, most intense first (2θ = 15–90°):
two_theta  Rel. int.  hkl
20.57  100  1 1 0
24.14  79  2 -1 3
32.71  73  1 1 6
36.03  38  3 0 0
46.93  30  1 2 8
49.45  25  2 2 6
56.39  23  1 4 0
62.69  18  4 1 6
56.28  17  3 1 8
25.25  15  2 0 2

Crystal structure
abc: 8.6335 8.6335 21.2620
angles: 90.00 90.00 120.00
Space group R3 (No. 146, hexagonal axes)
Asymmetric unit:
V  0.0000  0.0000  0.0000
V  0.0000  0.0000  0.2147
V  0.0000  0.0000  0.7150
Cu  0.0000  0.0000  0.3545
Cu  0.0000  0.0000  0.8576
Sn  0.0000  0.0000  0.4998
P  0.9997  0.2941  0.6085
P  0.0467  0.6704  0.7733
O  0.0102  0.2075  0.5468
O  0.0203  0.1835  0.2767
O  0.0250  0.8390  0.7759
O  0.1440  0.6675  0.7133
O  0.1440  0.6726  0.8338
O  0.1462  0.4718  0.3338
O  0.1667  0.6907  0.1014
O  0.1681  0.4843  0.6068

=====

# 4
Diffraction record for Ti3V2CuP6O24. The XRD peak list is simulated, not measured: it uses a DFT-relaxed cell (GGA+U, the Materials Project) and Cu Ka.
Peak positions follow from Bragg's law for the DFT cell and can differ from measured ones.

Main lines, most intense first (2θ = 15–90°):
two_theta  Rel. int.  hkl
24.22  100  2 -1 3
20.45  66  1 1 0
33.16  62  1 1 6
35.82  32  3 0 0
47.51  24  1 2 8
49.61  24  2 2 6
56.03  19  1 4 0
62.69  16  4 1 6
31.77  15  3 -1 1
25.20  13  2 0 2

Crystal structure
abc: 8.6844 8.6844 20.7022
angles: 90.00 90.00 120.00
Space group R3 (No. 146, hexagonal axes)
Asymmetric unit:
Ti  0.0000  0.0000  0.0000
Ti  0.0000  0.0000  0.2117
Ti  0.0000  0.0000  0.7091
V  0.0000  0.0000  0.3573
V  0.0000  0.0000  0.8562
Cu  0.0000  0.0000  0.5012
P  0.0384  0.3708  0.2699
P  0.0397  0.6678  0.7713
O  0.0046  0.1905  0.6638
O  0.0052  0.8128  0.1657
O  0.0162  0.1815  0.2801
O  0.0207  0.8366  0.7790
O  0.1274  0.4569  0.2075
O  0.1585  0.6892  0.7125
O  0.1622  0.6878  0.0931
O  0.1635  0.4882  0.6014

=====

# 5
Diffraction record for Ti3VCu2P6O24. The XRD peak list is simulated, not measured: it uses a DFT-relaxed cell (GGA+U, the Materials Project) and Cu Ka.
Peak positions follow from Bragg's law for the DFT cell and can differ from measured ones.

Main lines, most intense first (2θ = 15–90°):
two_theta  Rel. int.  hkl
24.26  100  2 -1 3
20.65  83  1 1 0
32.91  82  2 -1 6
56.60  39  4 1 0
36.16  35  3 0 0
47.23  32  3 -2 8
49.70  26  2 2 6
25.36  22  2 0 2
62.98  21  0 1 14
32.06  16  3 -1 1

Crystal structure
abc: 8.6035 8.6035 21.0893
angles: 90.00 90.00 120.00
Space group R3 (No. 146, hexagonal axes)
Asymmetric unit:
Ti  0.0000  0.0000  0.0000
Ti  0.0000  0.0000  0.2162
Ti  0.0000  0.0000  0.7161
V  0.0000  0.0000  0.5005
Cu  0.0000  0.0000  0.3573
Cu  0.0000  0.0000  0.8581
P  0.0001  0.2885  0.6077
P  0.0017  0.7105  0.1083
O  0.0072  0.1937  0.5478
O  0.0083  0.8162  0.0487
O  0.0228  0.8340  0.7765
O  0.0242  0.1892  0.2765
O  0.1490  0.6731  0.8345
O  0.1498  0.4765  0.3342
O  0.1685  0.4777  0.6066
O  0.1698  0.6903  0.1066

=====

# 6
Diffraction record for Ti3Cu2P6WO24. The XRD peak list is simulated, not measured: it uses a DFT-relaxed cell (GGA+U, the Materials Project) and Cu Ka.
Peak positions follow from Bragg's law for the DFT cell and can differ from measured ones.

Main lines, most intense first (2θ = 15–90°):
two_theta  Rel. int.  hkl
20.42  100  1 1 0
23.99  75  2 -1 3
32.54  66  1 1 6
35.75  41  3 0 0
55.92  38  1 4 0
46.68  28  1 2 8
49.11  22  2 2 6
62.21  22  0 1 14
31.70  21  3 -1 1
43.51  16  4 -2 3

Crystal structure
abc: 8.6993 8.6993 21.3231
angles: 90.00 90.00 120.00
Space group R3 (No. 146, hexagonal axes)
Asymmetric unit:
Ti  0.0000  0.0000  0.0000
Ti  0.0000  0.0000  0.2162
Ti  0.0000  0.0000  0.7159
Cu  0.0000  0.0000  0.3537
Cu  0.0000  0.0000  0.8581
P  0.0003  0.2918  0.6090
P  0.0470  0.6697  0.7748
W  0.0000  0.0000  0.4998
O  0.0064  0.8157  0.0489
O  0.0072  0.1991  0.5492
O  0.0233  0.1887  0.2766
O  0.0243  0.8351  0.7762
O  0.1494  0.4767  0.3339
O  0.1492  0.6732  0.8343
O  0.1640  0.6900  0.1062
O  0.1678  0.4786  0.6074